Er7Ni2Pt2: simulated powder X-ray diffraction pattern (a wavelength of 1.5418 Å), based on DFT lattice parameters and positions (PBE).

Structural model:
Lattice parameters (Å, degrees): 7.586 10.486 6.754 90.00 90.00 90.00
Space group Cmmm (No. 65)
Inequivalent atoms, fractional coordinates:
Er 0.000 0.000 0.000 (multiplicity 2)
Er 0.000 0.500 0.254 (multiplicity 4)
Er 0.250 0.250 0.259 (multiplicity 8)
Ni 0.000 0.288 0.000 (multiplicity 4)
Pt 0.193 0.000 0.500 (multiplicity 4)

Most intense lines, 5° ≤ 2θ ≤ 70°, low angle first:
2θ (°)	intensity
27.0	35
29.1	43
30.2	50
31.5	35
34.2	65
39.0	52
39.7	100
48.0	17
54.3	18
60.2	16
64.9	20
65.8	19

---

TbErNiPt: simulated powder X-ray diffraction pattern (a wavelength of 1.5418 Å), based on DFT lattice parameters and positions (PBE).

Structural model:
Lattice parameters (Å, degrees): 4.322 3.813 10.273 90.00 90.00 90.00
Space group Amm2 (No. 38)
Inequivalent atoms, fractional coordinates:
Tb 0.000 0.000 0.000 (multiplicity 2)
Er 0.500 0.000 0.719 (multiplicity 2)
Ni 0.000 0.000 0.278 (multiplicity 2)
Pt 0.500 0.000 0.436 (multiplicity 2)

Most intense lines, 5° ≤ 2θ ≤ 70°, low angle first:
2θ (°)	intensity
32.5	100
34.9	24
35.2	31
40.9	24
41.1	60
41.8	29
47.7	20
55.6	15
55.8	17
64.6	12
65.3	15
68.5	13

---

ErTmNiPt: simulated powder X-ray diffraction pattern (a wavelength of 1.5418 Å), based on DFT lattice parameters and positions (PBE).

Structural model:
Lattice parameters (Å, degrees): 6.815 6.815 6.815 90.00 90.00 90.00
Space group F-43m (No. 216)
Inequivalent atoms, fractional coordinates:
Er 0.000 0.000 0.000 (multiplicity 4)
Tm 0.000 0.000 0.500 (multiplicity 4)
Ni 0.250 0.250 0.250 (multiplicity 4)
Pt 0.250 0.250 0.750 (multiplicity 4)

Most intense lines, 5° ≤ 2θ ≤ 70°, low angle first:
2θ (°)	intensity
22.6	11
26.2	2
37.3	100
44.1	6
46.1	1
53.8	17
59.1	3
60.8	1
67.3	36

---

ErReNi: simulated powder X-ray diffraction pattern (a wavelength of 1.5418 Å), based on DFT lattice parameters and positions (PBE).

Structural model:
Lattice parameters (Å, degrees): 4.646 9.379 19.917 90.00 90.00 90.00
Space group Fddd (No. 70, origin choice 2)
Inequivalent atoms, fractional coordinates:
Er 0.125 0.278 0.125 (multiplicity 16)
Re 0.125 0.125 0.000 (multiplicity 16)
Ni 0.125 0.125 0.549 (multiplicity 16)

Most intense lines, 5° ≤ 2θ ≤ 70°, low angle first:
2θ (°)	intensity
21.8	100
33.1	18
36.1	46
37.2	86
38.3	81
39.8	32
41.5	41
42.6	71
43.5	22
46.5	32
47.3	67
62.6	31